Diffraction record for Ac2HfS5. The powder X-ray diffraction pattern is theoretical, not measured: it uses the PBE geometry in Alexandria and Cu Kα (weighted mean of Kα1 and Kα2).
Peak positions follow from Bragg's law for the DFT cell and can differ from measured ones.

Principal peaks in the range 5 to 70 degrees two-theta, by intensity:
| 2θ (°) | Rel. int. |
| --- | --- |
| 25.6 | 100.0 |
| 25.3 | 80.4 |
| 32.7 | 77.4 |
| 26.0 | 46.4 |
| 50.6 | 42.8 |
| 33.4 | 41.8 |

Crystal structure
a b c (Å): 11.7369 8.4537 7.5706
angles (deg): 90.00 90.00 90.00
Element x y z (fractional)
Ac  0.1695  0.0028  0.0682
Ac  0.1695  0.4972  0.0682
Ac  0.3305  0.5028  0.5682
Ac  0.3305  0.9972  0.5682
Ac  0.6695  0.0028  0.4318
Ac  0.6695  0.4972  0.4318
Ac  0.8305  0.5028  0.9318
Ac  0.8305  0.9972  0.9318
Hf  0.0090  0.2500  0.5694
Hf  0.4910  0.7500  0.0694
Hf  0.5090  0.2500  0.9306
Hf  0.9910  0.7500  0.4306
S  0.0072  0.2500  0.9309
S  0.0660  0.5322  0.6771
S  0.0660  0.9678  0.6771
S  0.1913  0.2500  0.3731
S  0.2032  0.7500  0.3528
S  0.2968  0.2500  0.8528
S  0.3087  0.7500  0.8731
S  0.4340  0.0322  0.1771
S  0.4340  0.4678  0.1771
S  0.4928  0.7500  0.4309
S  0.5072  0.2500  0.5691
S  0.5660  0.5322  0.8229
S  0.5660  0.9678  0.8229
S  0.6913  0.2500  0.1269
S  0.7032  0.7500  0.1472
S  0.7968  0.2500  0.6472
S  0.8087  0.7500  0.6269
S  0.9340  0.0322  0.3229
S  0.9340  0.4678  0.3229
S  0.9928  0.7500  0.0691



Diffraction record for Ac2HfS5. The powder X-ray diffraction pattern is theoretical, not measured: it uses the PBE geometry in Alexandria and Cu Kα (weighted mean of Kα1 and Kα2).
Peak positions follow from Bragg's law for the DFT cell and can differ from measured ones.

Principal peaks in the range 5 to 70 degrees two-theta, by intensity:
| 2θ (°) | Rel. int. |
| --- | --- |
| 23.5 | 100.0 |
| 17.6 | 94.2 |
| 26.8 | 63.1 |
| 24.8 | 58.0 |
| 40.8 | 57.3 |
| 41.3 | 46.5 |

Crystal structure
a b c (Å): 7.7317 7.7317 13.3392
angles (deg): 90.00 90.00 139.43
Element x y z (fractional)
Ac  0.1434  0.8566  0.5701
Ac  0.1434  0.8566  0.9299
Ac  0.8566  0.1434  0.0701
Ac  0.8566  0.1434  0.4299
Hf  0.1764  0.8236  0.2500
Hf  0.8236  0.1764  0.7500
S  0.0509  0.9491  0.1248
S  0.0509  0.9491  0.3752
S  0.2818  0.7182  0.7500
S  0.2877  0.7123  0.0966
S  0.2877  0.7123  0.4034
S  0.7123  0.2877  0.5966
S  0.7123  0.2877  0.9034
S  0.7182  0.2818  0.2500
S  0.9491  0.0509  0.6248
S  0.9491  0.0509  0.8752